Entry 1:
Calculated PXRD pattern of AcTa2AlO8 for a wavelength of 1.5418 Å, from a cell relaxed with GGA-PBE.
Lines closer than 0.1° are merged.

Crystal structure
abc: 5.330 5.330 7.191
angles: 90.80 90.80 67.15
Fractional positions:
Ac 0.000 0.000 0.000
Ta 0.362 0.362 0.707
Ta 0.638 0.638 0.293
Al 0.000 0.000 0.500
O 0.207 0.207 0.538
O 0.210 0.749 0.696
O 0.251 0.790 0.304
O 0.285 0.285 0.943
O 0.715 0.715 0.057
O 0.749 0.210 0.696
O 0.790 0.251 0.304
O 0.793 0.793 0.462

Top 10 peaks for 2θ from 10° to 90°, in order of rising 2θ:
d = 4.038 Å, I 100
d = 3.807 Å, I 48
d = 2.948 Å, I 31
d = 2.914 Å, I 55
d = 2.888 Å, I 16
d = 2.646 Å, I 40
d = 2.331 Å, I 28
d = 1.852 Å, I 13
d = 1.790 Å, I 15
d = 1.695 Å, I 13

---

Entry 2:
Calculated PXRD pattern of AcTaAlO6 for a wavelength of 1.5418 Å, from a cell relaxed with GGA-PBE.
Lines closer than 0.1° are merged.

Crystal structure
abc: 4.928 4.928 9.860
angles: 90.00 90.00 90.00
Fractional positions:
Ac 0.000 0.000 0.000
Ac 0.500 0.500 0.500
Ta 0.000 0.000 0.664
Ta 0.500 0.500 0.164
Al 0.000 0.000 0.326
Al 0.500 0.500 0.826
O 0.161 0.161 0.488
O 0.217 0.217 0.197
O 0.223 0.223 0.788
O 0.277 0.723 0.288
O 0.283 0.717 0.697
O 0.339 0.661 0.988
O 0.661 0.339 0.988
O 0.717 0.283 0.697
O 0.723 0.277 0.288
O 0.777 0.777 0.788
O 0.783 0.783 0.197
O 0.839 0.839 0.488

Top 10 peaks for 2θ from 10° to 90°, in order of rising 2θ:
d = 4.408 Å, I 47
d = 3.484 Å, I 100
d = 2.845 Å, I 21
d = 2.734 Å, I 88
d = 2.464 Å, I 31
d = 1.830 Å, I 73
d = 1.742 Å, I 20
d = 1.486 Å, I 22
d = 1.469 Å, I 25
d = 1.262 Å, I 18